Record 1
The following is a simulated powder diffraction line list of Tb24Fe3CoBi8. It was derived from a GGA-PBE-relaxed structure, using Cu Kα X-rays.

Structural model:
Unit cell a=8.403 b=4.184 c=29.180 alpha=90.00 beta=90.05 gamma=90.00
Space group Pm (No. 6)
Inequivalent atoms, fractional coordinates:
1 Tb 0.000 0.000 0.000 (multiplicity 1)
2 Tb 0.000 0.000 0.500 (multiplicity 1)
3 Tb 0.002 0.000 0.302 (multiplicity 1)
4 Tb 0.004 0.000 0.802 (multiplicity 1)
5 Tb 0.026 0.500 0.902 (multiplicity 1)
6 Tb 0.027 0.500 0.402 (multiplicity 1)
7 Tb 0.185 0.500 0.711 (multiplicity 1)
8 Tb 0.186 0.500 0.211 (multiplicity 1)
9 Tb 0.187 0.500 0.595 (multiplicity 1)
10 Tb 0.189 0.500 0.095 (multiplicity 1)
11 Tb 0.410 0.000 0.403 (multiplicity 1)
12 Tb 0.411 0.000 0.902 (multiplicity 1)
13 Tb 0.499 0.000 0.251 (multiplicity 1)
14 Tb 0.500 0.000 0.750 (multiplicity 1)
15 Tb 0.503 0.000 0.552 (multiplicity 1)
16 Tb 0.506 0.000 0.051 (multiplicity 1)
17 Tb 0.527 0.500 0.652 (multiplicity 1)
18 Tb 0.528 0.500 0.152 (multiplicity 1)
19 Tb 0.684 0.500 0.461 (multiplicity 1)
20 Tb 0.685 0.500 0.961 (multiplicity 1)
21 Tb 0.687 0.500 0.345 (multiplicity 1)
22 Tb 0.688 0.500 0.845 (multiplicity 1)
23 Tb 0.910 0.000 0.153 (multiplicity 1)
24 Tb 0.911 0.000 0.653 (multiplicity 1)
25 Fe 0.293 0.000 0.655 (multiplicity 1)
26 Fe 0.791 0.000 0.904 (multiplicity 1)
27 Fe 0.792 0.000 0.404 (multiplicity 1)
28 Co 0.294 0.000 0.156 (multiplicity 1)
29 Bi 0.301 0.500 0.485 (multiplicity 1)
30 Bi 0.301 0.500 0.985 (multiplicity 1)
31 Bi 0.303 0.500 0.319 (multiplicity 1)
32 Bi 0.304 0.500 0.819 (multiplicity 1)
33 Bi 0.801 0.500 0.236 (multiplicity 1)
34 Bi 0.801 0.500 0.736 (multiplicity 1)
35 Bi 0.804 0.500 0.569 (multiplicity 1)
36 Bi 0.806 0.500 0.069 (multiplicity 1)

The 10 most intense peaks (15 to 90 degrees two-theta), in order of falling intensity:
2θ 30.12, intensity 100, (1 1 6)
2θ 32.53, intensity 80, (3 0 2)
2θ 32.60, intensity 39, (2 1 -4)
2θ 39.16, intensity 35, (3 1 2)
2θ 37.01, intensity 31, (0 0 12)
2θ 55.13, intensity 27, (3 2 2)
2θ 43.25, intensity 22, (0 2 0)
2θ 58.20, intensity 17, (0 2 12)
2θ 59.52, intensity 16, (3 1 14)
2θ 62.55, intensity 15, (5 1 6)

Record 2
The following is a simulated powder diffraction line list of EuSeO3. It was derived from a GGA-PBE-relaxed structure, using Cu Kα X-rays.

Structural model:
Unit cell a=4.472 b=5.514 c=6.579 alpha=90.00 beta=107.12 gamma=90.00
Space group P2_1/m (No. 11)
Inequivalent atoms, fractional coordinates:
1 Eu 0.158 0.250 0.301 (multiplicity 2)
2 Se 0.429 0.250 0.846 (multiplicity 2)
3 O 0.168 0.750 0.108 (multiplicity 2)
4 O 0.317 0.009 0.667 (multiplicity 4)

The 10 most intense peaks (15 to 90 degrees two-theta), in order of falling intensity:
2θ 26.90, intensity 100, (1 1 -1)
2θ 32.81, intensity 92, (0 1 2)
2θ 26.38, intensity 83, (1 1 0)
2θ 43.71, intensity 65, (1 2 1)
2θ 32.48, intensity 51, (0 2 0)
2θ 40.38, intensity 43, (2 0 -1)
2θ 28.39, intensity 42, (0 0 2)
2θ 34.14, intensity 31, (1 1 -2)
2θ 21.43, intensity 27, (0 1 1)
2θ 52.74, intensity 26, (2 2 -1)

Record 3
The following is a simulated powder diffraction line list of RbSb3S5O. It was derived from a GGA-PBE-relaxed structure, using Cu Kα X-rays.

Structural model:
Unit cell a=6.897 b=8.934 c=10.728 alpha=106.21 beta=99.74 gamma=93.66
Space group P-1 (No. 2)
Inequivalent atoms, fractional coordinates:
1 Rb 0.180 0.155 0.176 (multiplicity 2)
2 Sb 0.282 0.037 0.614 (multiplicity 2)
3 Sb 0.304 0.459 0.859 (multiplicity 2)
4 Sb 0.330 0.685 0.440 (multiplicity 2)
5 S 0.258 0.160 0.846 (multiplicity 2)
6 S 0.327 0.349 0.557 (multiplicity 2)
7 S 0.332 0.506 0.111 (multiplicity 2)
8 S 0.351 0.906 0.339 (multiplicity 2)
9 S 0.379 0.787 0.934 (multiplicity 2)
10 O 0.198 0.863 0.976 (multiplicity 2)

The 10 most intense peaks (15 to 90 degrees two-theta), in order of falling intensity:
2θ 26.42, intensity 100, (2 0 0)
2θ 30.07, intensity 87, (0 3 -1)
2θ 23.30, intensity 84, (1 -1 2)
2θ 31.36, intensity 75, (-1 1 3)
2θ 20.61, intensity 74, (1 1 -2)
2θ 35.57, intensity 57, (0 2 -4)
2θ 26.22, intensity 47, (-1 2 1)
2θ 17.81, intensity 35, (1 -1 1)
2θ 22.96, intensity 33, (0 1 2)
2θ 39.05, intensity 31, (2 -3 1)

Record 4
The following is a simulated powder diffraction line list of HfMg14Co. It was derived from a GGA-PBE-relaxed structure, using Cu Kα X-rays.

Structural model:
Unit cell a=10.081 b=6.093 c=11.157 alpha=90.00 beta=90.00 gamma=90.00
Space group Amm2 (No. 38)
Inequivalent atoms, fractional coordinates:
1 Hf 0.000 0.000 0.000 (multiplicity 2)
2 Mg 0.000 0.239 0.249 (multiplicity 4)
3 Mg 0.222 0.000 0.637 (multiplicity 4)
4 Mg 0.239 0.248 0.402 (multiplicity 8)
5 Mg 0.256 0.000 0.149 (multiplicity 4)
6 Mg 0.500 0.000 0.489 (multiplicity 2)
7 Mg 0.500 0.000 0.985 (multiplicity 2)
8 Mg 0.500 0.246 0.739 (multiplicity 4)
9 Co 0.000 0.000 0.483 (multiplicity 2)

The 10 most intense peaks (15 to 90 degrees two-theta), in order of falling intensity:
2θ 38.10, intensity 100, (2 2 2)
2θ 36.83, intensity 68, (2 0 4)
2θ 18.17, intensity 45, (1 0 2)
2θ 35.62, intensity 41, (4 0 0)
2θ 33.52, intensity 40, (0 2 2)
2θ 15.89, intensity 33, (0 0 2)
2θ 18.79, intensity 26, (1 1 1)
2θ 49.72, intensity 25, (4 2 2)
2θ 17.60, intensity 25, (2 0 0)
2θ 70.05, intensity 24, (4 2 6)

Record 5
The following is a simulated powder diffraction line list of Rb2NaSmCl6. It was derived from a GGA-PBE-relaxed structure, using Cu Kα X-rays.

Structural model:
Unit cell a=10.912 b=10.912 c=10.912 alpha=90.00 beta=90.00 gamma=90.00
Space group Fm-3m (No. 225)
Inequivalent atoms, fractional coordinates:
1 Rb 0.250 0.250 0.250 (multiplicity 8)
2 Na 0.000 0.000 0.000 (multiplicity 4)
3 Sm 0.000 0.000 0.500 (multiplicity 4)
4 Cl 0.000 0.000 0.253 (multiplicity 24)

The 10 most intense peaks (15 to 90 degrees two-theta), in order of falling intensity:
2θ 23.05, intensity 100, (2 2 0)
2θ 32.83, intensity 87, (4 0 0)
2θ 47.11, intensity 59, (4 4 0)
2θ 40.50, intensity 47, (4 2 2)
2θ 27.10, intensity 27, (3 1 1)
2θ 28.33, intensity 26, (2 2 2)
2θ 63.83, intensity 25, (6 4 2)
2θ 78.38, intensity 25, (8 4 0)
2θ 53.08, intensity 22, (6 2 0)
2θ 58.61, intensity 20, (4 4 4)

Record 6
The following is a simulated powder diffraction line list of Y2NiGe6. It was derived from a GGA-PBE-relaxed structure, using Cu Kα X-rays.

Structural model:
Unit cell a=4.069 b=4.025 c=21.404 alpha=90.00 beta=90.00 gamma=90.00
Space group Amm2 (No. 38)
Inequivalent atoms, fractional coordinates:
1 Y 0.000 0.000 0.000 (multiplicity 2)
2 Y 0.000 0.000 0.337 (multiplicity 2)
3 Ni 0.500 0.000 0.559 (multiplicity 2)
4 Ge 0.000 0.000 0.615 (multiplicity 2)
5 Ge 0.000 0.000 0.732 (multiplicity 2)
6 Ge 0.500 0.000 0.116 (multiplicity 2)
7 Ge 0.500 0.000 0.233 (multiplicity 2)
8 Ge 0.500 0.000 0.451 (multiplicity 2)
9 Ge 0.500 0.000 0.877 (multiplicity 2)

The 10 most intense peaks (15 to 90 degrees two-theta), in order of falling intensity:
2θ 33.75, intensity 100, (1 1 3)
2θ 33.45, intensity 35, (0 0 8)
2θ 44.53, intensity 28, (2 0 0)
2θ 45.05, intensity 27, (0 2 0)
2θ 37.82, intensity 23, (1 1 5)
2θ 57.26, intensity 20, (0 2 8)
2θ 65.20, intensity 18, (2 2 0)
2θ 44.24, intensity 16, (0 1 9)
2θ 49.86, intensity 15, (1 1 9)
2θ 43.31, intensity 14, (1 1 7)

Please write out number 5 again, unchanged.
The following is a simulated powder diffraction line list of Rb2NaSmCl6. It was derived from a GGA-PBE-relaxed structure, using Cu Kα X-rays.

Structural model:
Unit cell a=10.912 b=10.912 c=10.912 alpha=90.00 beta=90.00 gamma=90.00
Space group Fm-3m (No. 225)
Inequivalent atoms, fractional coordinates:
1 Rb 0.250 0.250 0.250 (multiplicity 8)
2 Na 0.000 0.000 0.000 (multiplicity 4)
3 Sm 0.000 0.000 0.500 (multiplicity 4)
4 Cl 0.000 0.000 0.253 (multiplicity 24)

The 10 most intense peaks (15 to 90 degrees two-theta), in order of falling intensity:
2θ 23.05, intensity 100, (2 2 0)
2θ 32.83, intensity 87, (4 0 0)
2θ 47.11, intensity 59, (4 4 0)
2θ 40.50, intensity 47, (4 2 2)
2θ 27.10, intensity 27, (3 1 1)
2θ 28.33, intensity 26, (2 2 2)
2θ 63.83, intensity 25, (6 4 2)
2θ 78.38, intensity 25, (8 4 0)
2θ 53.08, intensity 22, (6 2 0)
2θ 58.61, intensity 20, (4 4 4)